LaTaMo: calculated powder XRD pattern (CuKα), based on a DFT-relaxed cell (GGA-PBE, Alexandria).
Kinematic intensities with the Lorentz-polarization factor, no thermal factor.

Structure:
a b c (Å): 5.6250 5.8565 8.0208
angles (deg): 90.00 90.00 90.00
Atoms (fractional coordinates):
1 La 0.0000 0.2500 0.1228
2 La 0.0000 0.7500 0.8772
3 La 0.5000 0.2500 0.3772
4 La 0.5000 0.7500 0.6228
5 Ta 0.0000 0.0000 0.5000
6 Ta 0.0000 0.5000 0.5000
7 Ta 0.5000 0.0000 0.0000
8 Ta 0.5000 0.5000 0.0000
9 Mo 0.2500 0.2500 0.7500
10 Mo 0.2500 0.7500 0.2500
11 Mo 0.7500 0.2500 0.7500
12 Mo 0.7500 0.7500 0.2500

Main lines, by angle (2θ from 5° to 70°):
d_spacing  two_theta  Rel. int.
4.605  19.3  20
2.852  31.4  36
2.813  31.8  22
2.471  36.4  100
2.432  37.0  25
2.416  37.2  91
2.365  38.1  43
2.303  39.1  42
1.549  59.7  29
1.426  65.4  40